The following is a computed XRD peak list of Tb8Y6Al. It was derived from a structure optimized by DFT (PBE), using Cu Kα (λ = 1.5418 Å).
No peak broadening, texture or thermal motion is included.

Main lines, most intense first (2θ = 10–90°):
h k l, 2θ (°), d [Å], I (rel.)
3 -2 1, 32.49, 2.756, 100
2 1 0, 29.11, 3.067, 23
0 0 2, 28.44, 3.138, 20
4 2 1, 62.35, 1.489, 19
1 4 0, 51.61, 1.771, 17
2 1 2, 41.15, 2.193, 15

```
data_Tb8Y6Al
_chemical_formula_sum 'Tb8 Y6 Al1'
_cell_length_a 9.3703
_cell_length_b 9.3703
_cell_length_c 6.2758
_cell_angle_alpha 90.00
_cell_angle_beta 90.00
_cell_angle_gamma 120.00
_symmetry_space_group_name_H-M 'P 1'
_symmetry_Int_Tables_number 1
loop_
_symmetry_equiv_pos_as_xyz
'x,y,z'
loop_
_atom_site_label
_atom_site_type_symbol
_atom_site_fract_x
_atom_site_fract_y
_atom_site_fract_z
_atom_site_occupancy
Tb1 Tb 0.0428 0.2612 0.3051 1
Tb2 Tb 0.2183 0.9572 0.3051 1
Tb3 Tb 0.2612 0.2183 0.6949 1
Tb4 Tb 0.3333 0.6667 0.3098 1
Tb5 Tb 0.6667 0.3333 0.6902 1
Tb6 Tb 0.7388 0.7817 0.3051 1
Tb7 Tb 0.7817 0.0428 0.6949 1
Tb8 Tb 0.9572 0.7388 0.6949 1
Y1 Y 0.0937 0.4536 0.8134 1
Y2 Y 0.3599 0.9063 0.8134 1
Y3 Y 0.4536 0.3599 0.1866 1
Y4 Y 0.5464 0.6401 0.8134 1
Y5 Y 0.6401 0.0937 0.1866 1
Y6 Y 0.9063 0.5464 0.1866 1
Al1 Al 0.0000 0.0000 0.0000 1
```